The following is a calculated powder X-ray diffraction pattern of MgSi2. It was derived from a structure optimized by DFT (PBE), using Cu Kα (λ = 1.5418 Å).
Neutral-atom scattering factors, no anomalous dispersion.

Crystal structure
Cell: 3.730 5.397 11.932 Å, 84.82 81.82 70.06°
Space group P-1 (No. 2)
Inequivalent atoms, fractional coordinates:
1 Mg 0.189 0.055 0.109 x2
2 Mg 0.301 0.081 0.680 x2
3 Si 0.012 0.778 0.537 x2
4 Si 0.099 0.366 0.913 x2
5 Si 0.402 0.481 0.387 x2
6 Si 0.451 0.442 0.189 x2

Peak list (10 most intense, 10° ≤ 2θ ≤ 90°, low angle first)
hkl	Position (°2θ)	I_rel
1 1 -1	27.94	32
1 0 -2	31.35	33
1 1 3	31.83	21
0 1 4	34.49	23
1 -1 0	35.85	33
1 2 0	36.24	22
1 2 -1	38.05	100
0 1 5	41.48	29
2 1 1	48.84	25
1 1 -5	49.93	19